Starting from a crystal structure in Alexandria, relaxed with PBE, the powder XRD pattern of NaNdAg2I6 was simulated for Cu Kα, 1.54184 Å.

The 10 most intense peaks (10° ≤ 2θ ≤ 90°), sorted by position:
2theta	intensity
20.35	23.7
23.63	29.5
25.36	100.0
30.43	16.7
39.30	44.7
42.61	23.4
46.37	26.0
47.35	16.8
63.17	13.1
63.99	19.0

Cell and atoms:
```
data_NaNdAg2I6
_symmetry_space_group_name_H-M 'P 1'
_symmetry_Int_Tables_number 1
_cell_length_a 8.8165
_cell_length_b 8.8165
_cell_length_c 8.8165
_cell_angle_alpha 53.53
_cell_angle_beta 53.53
_cell_angle_gamma 53.53
loop_
_symmetry_equiv_pos_as_xyz
'x,y,z'
loop_
_atom_site_label
_atom_site_type_symbol
_atom_site_fract_x
_atom_site_fract_y
_atom_site_fract_z
Na1 Na 0.0000 0.0000 0.0000
Nd1 Nd 0.5000 0.5000 0.5000
Ag1 Ag 0.2419 0.2419 0.2419
Ag2 Ag 0.7581 0.7581 0.7581
I1 I 0.1047 0.7448 0.4056
I2 I 0.2552 0.5944 0.8953
I3 I 0.4056 0.1047 0.7448
I4 I 0.5944 0.8953 0.2552
I5 I 0.7448 0.4056 0.1047
I6 I 0.8953 0.2552 0.5944
```

---

Starting from a crystal structure in Alexandria, relaxed with PBE, the powder XRD pattern of NaLa2PaSe6 was simulated for Cu Kα, 1.54184 Å.

The 10 most intense peaks (10° ≤ 2θ ≤ 90°), sorted by position:
2theta	intensity
14.37	59.0
16.35	45.2
22.65	48.6
23.75	32.1
27.40	97.7
33.05	41.7
36.36	100.0
41.11	38.4
41.75	65.7
48.10	26.0

Cell and atoms:
```
data_NaLa2PaSe6
_symmetry_space_group_name_H-M 'P 1'
_symmetry_Int_Tables_number 1
_cell_length_a 7.8697
_cell_length_b 7.8697
_cell_length_c 7.8697
_cell_angle_alpha 56.87
_cell_angle_beta 56.87
_cell_angle_gamma 56.87
loop_
_symmetry_equiv_pos_as_xyz
'x,y,z'
loop_
_atom_site_label
_atom_site_type_symbol
_atom_site_fract_x
_atom_site_fract_y
_atom_site_fract_z
Na1 Na 0.0000 0.0000 0.0000
La1 La 0.2840 0.2840 0.2840
La2 La 0.7951 0.7951 0.7951
Pa1 Pa 0.4856 0.4856 0.4856
Se1 Se 0.1074 0.6795 0.3989
Se2 Se 0.2252 0.6003 0.8543
Se3 Se 0.3989 0.1074 0.6795
Se4 Se 0.6003 0.8543 0.2252
Se5 Se 0.6795 0.3989 0.1074
Se6 Se 0.8543 0.2252 0.6003
```

---

Starting from a crystal structure in Alexandria, relaxed with PBE, the powder XRD pattern of As2O3 was simulated for Cu Kα, 1.54184 Å.

The 10 most intense peaks (10° ≤ 2θ ≤ 90°), sorted by position:
2theta	intensity
16.25	100.0
20.33	33.4
24.03	52.9
27.51	33.3
30.39	79.8
35.33	20.5
40.33	37.6
40.86	19.0
51.61	17.6
58.43	19.6

Cell and atoms:
```
data_As2O3
_symmetry_space_group_name_H-M 'P 1'
_symmetry_Int_Tables_number 1
_cell_length_a 6.9847
_cell_length_b 6.9847
_cell_length_c 8.7352
_cell_angle_alpha 90.00
_cell_angle_beta 90.00
_cell_angle_gamma 90.00
loop_
_symmetry_equiv_pos_as_xyz
'x,y,z'
loop_
_atom_site_label
_atom_site_type_symbol
_atom_site_fract_x
_atom_site_fract_y
_atom_site_fract_z
As1 As 0.0279 0.6956 0.1573
As2 As 0.1956 0.9721 0.6573
As3 As 0.3044 0.5279 0.6573
As4 As 0.4721 0.8044 0.1573
As5 As 0.5279 0.1956 0.8427
As6 As 0.6956 0.4721 0.3427
As7 As 0.8044 0.0279 0.3427
As8 As 0.9721 0.3044 0.8427
O1 O 0.0724 0.4096 0.6687
O2 O 0.0904 0.0724 0.8313
O3 O 0.2500 0.7500 0.2595
O4 O 0.2500 0.7500 0.7595
O5 O 0.4096 0.4276 0.8313
O6 O 0.4276 0.0904 0.6687
O7 O 0.5724 0.9096 0.3313
O8 O 0.5904 0.5724 0.1687
O9 O 0.7500 0.2500 0.2405
O10 O 0.7500 0.2500 0.7405
O11 O 0.9096 0.9276 0.1687
O12 O 0.9276 0.5904 0.3313
```